1.
Starting from a GGA+U-relaxed structure, the powder XRD pattern of LiCoSiO4 was computed for a wavelength of 1.5418 Å.
Kinematic intensities with the Lorentz-polarization factor, no thermal factor.

Cell and atoms:
Unit cell a=5.577 b=5.790 c=7.828 alpha=90.00 beta=90.00 gamma=90.00
Space group Imma (No. 74)
Asymmetric unit:
Li 0.250 0.250 0.250 [4 per cell]
Co 0.000 0.000 0.000 [4 per cell]
Si 0.000 0.250 0.641 [4 per cell]
O 0.000 0.010 0.756 [8 per cell]
O 0.241 0.250 0.511 [8 per cell]

The 8 most intense peaks (10° ≤ 2θ ≤ 80°), by intensity:
| (hkl) | 2θ (°) | intensity |
| --- | --- | --- |
| 1 2 1 | 36.8 | 100.0 |
| 1 0 1 | 19.5 | 67.3 |
| 2 2 4 | 66.7 | 47.6 |
| 1 0 3 | 38.1 | 44.0 |
| 2 2 0 | 45.1 | 39.6 |
| 2 0 0 | 32.1 | 39.2 |
| 0 0 2 | 22.7 | 33.6 |
| 2 2 2 | 51.1 | 20.6 |


2.
Starting from a GGA+U-relaxed structure, the powder XRD pattern of LiCoSiO4 was computed for a wavelength of 1.5418 Å.
Kinematic intensities with the Lorentz-polarization factor, no thermal factor.

Cell and atoms:
Unit cell a=4.931 b=6.860 c=9.684 alpha=90.00 beta=90.00 gamma=90.00
Space group P2_12_12_1 (No. 19)
Asymmetric unit:
Li 0.105 0.223 0.116 [4 per cell]
Co 0.011 0.068 0.512 [4 per cell]
Si 0.066 0.980 0.848 [4 per cell]
O 0.136 0.978 0.684 [4 per cell]
O 0.199 0.778 0.919 [4 per cell]
O 0.239 0.864 0.433 [4 per cell]
O 0.246 0.492 0.122 [4 per cell]

The 8 most intense peaks (10° ≤ 2θ ≤ 80°), by intensity:
| (hkl) | 2θ (°) | intensity |
| --- | --- | --- |
| 1 1 1 | 24.1 | 100.0 |
| 0 0 2 | 18.3 | 88.4 |
| 1 1 3 | 35.7 | 81.8 |
| 0 2 0 | 26.0 | 62.1 |
| 1 0 1 | 20.2 | 50.5 |
| 1 2 2 | 36.9 | 46.6 |
| 0 1 1 | 15.8 | 41.1 |
| 0 1 2 | 22.5 | 33.5 |


3.
Starting from a GGA+U-relaxed structure, the powder XRD pattern of Li2CoSi2O6 was computed for a wavelength of 1.5418 Å.
Kinematic intensities with the Lorentz-polarization factor, no thermal factor.

Cell and atoms:
Unit cell a=7.304 b=19.437 c=7.270 alpha=90.00 beta=90.00 gamma=90.00
Space group Fdd2 (No. 43)
Asymmetric unit:
Li 0.023 0.167 0.000 [16 per cell]
Co 0.000 0.000 0.003 [8 per cell]
Si 0.061 0.332 0.934 [16 per cell]
O 0.025 0.244 0.398 [16 per cell]
O 0.029 0.083 0.841 [16 per cell]
O 0.110 0.113 0.485 [16 per cell]

The 8 most intense peaks (10° ≤ 2θ ≤ 80°), by intensity:
| (hkl) | 2θ (°) | intensity |
| --- | --- | --- |
| 1 3 1 | 22.0 | 100.0 |
| 2 0 2 | 34.8 | 31.3 |
| 0 6 2 | 37.2 | 15.5 |
| 1 5 1 | 28.8 | 14.8 |
| 3 1 1 | 39.3 | 10.9 |
| 1 1 1 | 17.8 | 10.4 |
| 1 7 1 | 36.8 | 9.7 |
| 0 2 2 | 26.2 | 8.4 |